1.
For La6Pr3Pb, DFT lattice parameters and positions (GGA-PBE) gives the theoretical X-ray powder pattern in this record (CuKα).
Neutral-atom scattering factors, no anomalous dispersion.

Structure:
a b c (Å): 12.4029 3.7036 16.0379
angles (deg): 90.00 100.93 90.00
Space group P2_1/m (No. 11)
Asymmetric unit:
La  0.0894  0.2500  0.3973
La  0.1156  0.7500  0.9664
La  0.1692  0.2500  0.7596
La  0.3264  0.2500  0.1194
La  0.3365  0.7500  0.3238
La  0.3863  0.2500  0.5273
Pr  0.0923  0.7500  0.1849
Pr  0.3845  0.7500  0.9296
Pr  0.4273  0.7500  0.7252
Pb  0.1764  0.7500  0.5808

Principal peaks in the range 2θ from 10° to 90°, by angle:
2θ 29.3, I = 49; 2θ 29.5, I = 53; 2θ 29.6, I = 53; 2θ 30.6, I = 100; 2θ 31.5, I = 77; 2θ 32.5, I = 69

2.
For La6PrPb, DFT lattice parameters and positions (GGA-PBE) gives the theoretical X-ray powder pattern in this record (CuKα).
Neutral-atom scattering factors, no anomalous dispersion.

Structure:
a b c (Å): 6.5670 6.5708 6.5718
angles (deg): 89.98 89.96 89.91
Space group P-1 (No. 2)
Asymmetric unit:
La  0.0005  0.2383  0.9997
La  0.2386  0.5000  0.4986
La  0.4990  0.9996  0.7384
Pr  0.5000  0.5000  0.0000
Pb  0.0000  0.0000  0.5000

Principal peaks in the range 2θ from 10° to 90°, by angle:
2θ 27.1, I = 43; 2θ 30.4, I = 100; 2θ 33.4, I = 98; 2θ 50.1, I = 24; 2θ 52.1, I = 57; 2θ 56.0, I = 20

Q: What is the formula in the second record?
A: La6PrPb